Structure and simulated XRD peak list of Ni8Bi8S (a PBE-relaxed structure; Cu Kα, 1.54184 Å).

Principal peaks in the range 2θ from 5° to 70°, in order of rising 2θ:
Position (°2θ), d_spacing, I/Imax, h k l
17.49, 5.069, 44, 1 3 0
26.85, 3.320, 29, 1 5 0
27.96, 3.192, 100, 2 1 1
30.64, 2.918, 80, 1 4 1
36.91, 2.435, 33, 3 5 0
38.43, 2.343, 26, 1 6 1
39.86, 2.262, 19, 3 4 1
42.80, 2.113, 52, 0 0 2
44.48, 2.037, 27, 4 3 1
57.75, 1.596, 21, 3 5 2

Atomic structure:
abc: 10.1284 17.5764 4.2280
angles: 90.00 90.00 90.00
Fractional positions:
1 Ni 0.0612 0.1078 0.0036
2 Ni 0.0901 0.9036 0.4982
3 Ni 0.1794 0.0546 0.5016
4 Ni 0.1903 0.9683 0.0021
5 Ni 0.3097 0.4683 0.9979
6 Ni 0.3206 0.5546 0.4984
7 Ni 0.4099 0.4036 0.5018
8 Ni 0.4388 0.6078 0.9964
9 Ni 0.5612 0.3922 0.9964
10 Ni 0.5901 0.5964 0.5018
11 Ni 0.6794 0.4454 0.4984
12 Ni 0.6903 0.5317 0.9979
13 Ni 0.8097 0.0317 0.0021
14 Ni 0.8206 0.9454 0.5016
15 Ni 0.9099 0.0964 0.4982
16 Ni 0.9388 0.8922 0.0036
17 Bi 0.1022 0.2034 0.4993
18 Bi 0.1472 0.4358 0.5004
19 Bi 0.1678 0.8135 0.0015
20 Bi 0.1700 0.5995 0.9997
21 Bi 0.3300 0.0995 0.0003
22 Bi 0.3322 0.3135 0.9985
23 Bi 0.3528 0.9358 0.4996
24 Bi 0.3978 0.7034 0.5007
25 Bi 0.6022 0.2966 0.5007
26 Bi 0.6472 0.0642 0.4996
27 Bi 0.6678 0.6865 0.9985
28 Bi 0.6700 0.9005 0.0003
29 Bi 0.8300 0.4005 0.9997
30 Bi 0.8322 0.1865 0.0015
31 Bi 0.8528 0.5642 0.5004
32 Bi 0.8978 0.7966 0.4993
33 S 0.0000 0.0000 0.7573
34 S 0.5000 0.5000 0.2427